No. 1
# PSe2S
Theoretical X-ray diffraction stick pattern, CuKα. Input: DFT lattice parameters and positions (PBE).
Lines closer than 0.1° are merged.

Structure:
Cell lengths 7.373, 7.792, 10.724 Å; angles 90.00, 127.55, 90.00 degrees
Sites, in units of the cell vectors:
P (0.200, 0.155, 0.376)
P (0.200, 0.345, 0.876)
P (0.800, 0.655, 0.124)
P (0.800, 0.845, 0.624)
Se (0.201, 0.039, 0.573)
Se (0.201, 0.461, 0.073)
Se (0.245, 0.579, 0.755)
Se (0.245, 0.921, 0.255)
Se (0.755, 0.079, 0.745)
Se (0.755, 0.421, 0.245)
Se (0.799, 0.539, 0.927)
Se (0.799, 0.961, 0.427)
S (0.152, 0.686, 0.321)
S (0.152, 0.814, 0.821)
S (0.848, 0.186, 0.179)
S (0.848, 0.314, 0.679)

Most intense lines, 2θ = 10–90°, by angle:
Position (°2θ)	I_rel
15.16	27.8
15.42	100.0
20.25	25.5
25.87	40.7
27.74	71.2
28.43	34.0
30.58	49.2
38.57	50.6

No. 2
# Ba8MgPd2
Theoretical X-ray diffraction stick pattern, CuKα. Input: DFT lattice parameters and positions (PBE).
Lines closer than 0.1° are merged.

Structure:
Cell lengths 9.201, 9.201, 6.578 Å; angles 97.21, 97.21, 110.86 degrees
Sites, in units of the cell vectors:
Ba (0.000, 0.000, 0.000)
Ba (0.049, 0.318, 0.623)
Ba (0.129, 0.628, 0.211)
Ba (0.318, 0.049, 0.623)
Ba (0.438, 0.707, 0.799)
Ba (0.628, 0.129, 0.211)
Ba (0.707, 0.438, 0.799)
Ba (0.758, 0.758, 0.423)
Mg (0.378, 0.378, 0.211)
Pd (0.065, 0.692, 0.711)
Pd (0.692, 0.065, 0.711)

Most intense lines, 2θ = 10–90°, by angle:
Position (°2θ)	I_rel
22.95	50.4
24.61	73.0
27.34	100.0
27.51	74.0
27.86	62.8
29.40	76.5
30.26	50.4
31.77	92.7